Structure and calculated powder diffraction line list of HoGaS (a DFT-relaxed cell (GGA-PBE, Alexandria); Cu Kα).
Peak positions follow from Bragg's law for the DFT cell and can differ from measured ones.

Main lines, low angle first (15 to 90 degrees two-theta):
d [Å]  intensity
5.271  27
3.546  38
3.108  28
2.800  100
2.649  28
2.060  50

Atomic structure:
```
6
Lattice="2.0601 1.1894 10.5412 -2.0601 1.1894 10.5412 0.0000 -2.3788 10.5412" Properties=species:S:1:pos:R:3 pbc="T T T"
Ho 0.0000 0.0000 2.3856
Ho 0.0000 0.0000 29.2381
Ga 0.0000 0.0000 10.7475
Ga 0.0000 0.0000 20.8761
S 0.0000 0.0000 7.0116
S 0.0000 0.0000 24.6121
```

---

Structure and calculated powder diffraction line list of Ho7GaS5 (a DFT-relaxed cell (GGA-PBE, Alexandria); Cu Kα).
Peak positions follow from Bragg's law for the DFT cell and can differ from measured ones.

Main lines, low angle first (15 to 90 degrees two-theta):
d [Å]  intensity
3.125  56
2.944  100
2.790  93
2.695  55
1.945  45
1.656  36

Atomic structure:
```
26
Lattice="3.8763 0.0000 0.0000 0.0000 23.1779 0.0000 -1.9292 0.0000 6.4297" Properties=species:S:1:pos:R:3 pbc="T T T"
Ho 0.0001 5.7945 0.3280
Ho 0.0019 12.4184 1.7668
Ho 0.0019 22.3484 1.7668
Ho 0.0051 4.0883 4.0782
Ho 0.0051 7.5007 4.0782
Ho 0.0087 14.1817 5.2433
Ho 0.0087 20.5851 5.2433
Ho 1.9384 2.5927 1.1863
Ho 1.9384 8.9962 1.1863
Ho 1.9420 15.6772 2.3515
Ho 1.9420 19.0896 2.3515
Ho 1.9452 0.8295 4.6629
Ho 1.9452 10.7594 4.6629
Ho 1.9470 17.3834 6.1017
Ga 0.0028 17.3834 3.9119
Ga 1.9443 5.7945 2.5178
S 0.0006 14.8493 0.6125
S 0.0006 19.9175 0.6125
S 0.0044 1.6490 2.9067
S 0.0044 9.9400 2.9067
S 1.9382 0.0000 0.0000
S 1.9382 11.5889 0.0000
S 1.9428 13.2379 3.5230
S 1.9428 21.5289 3.5230
S 1.9465 3.2604 5.8171
S 1.9465 8.3285 5.8171
```

---

Structure and calculated powder diffraction line list of HoGaS3 (a DFT-relaxed cell (GGA-PBE, Alexandria); Cu Kα).
Peak positions follow from Bragg's law for the DFT cell and can differ from measured ones.

Main lines, low angle first (15 to 90 degrees two-theta):
d [Å]  intensity
3.483  100
3.269  88
2.859  49
2.384  48
2.188  87
1.887  56

Atomic structure:
```
10
Lattice="3.2695 1.8876 5.8911 -3.2695 1.8876 5.8911 0.0000 -3.7752 5.8911" Properties=species:S:1:pos:R:3 pbc="T T T"
Ho 0.0000 0.0000 2.5885
Ho 0.0000 0.0000 15.0847
Ga 0.0000 0.0000 6.1107
Ga 0.0000 0.0000 11.5625
S -1.2828 -1.7520 7.2739
S -2.1587 0.2349 10.3993
S -0.8759 1.9870 7.2739
S 0.8759 -1.9870 10.3993
S 2.1587 -0.2349 7.2739
S 1.2828 1.7520 10.3993
```

---

Structure and calculated powder diffraction line list of Ho4GaSbS9 (a DFT-relaxed cell (GGA-PBE, Alexandria); Cu Kα).
Peak positions follow from Bragg's law for the DFT cell and can differ from measured ones.

Main lines, low angle first (15 to 90 degrees two-theta):
d [Å]  intensity
3.536  59
3.455  28
3.327  100
2.659  42
2.471  40
1.797  42

Atomic structure:
```
60
Lattice="13.4982 0.0000 0.0000 0.0000 6.9098 7.0726 0.0000 -6.9098 7.0726" Properties=species:S:1:pos:R:3 pbc="T T T"
Ho 1.3406 -4.5339 7.0726
Ho 1.4083 1.5039 7.7034
Ho 2.5375 2.2804 3.9597
Ho 2.5519 5.3911 7.1749
Ho 4.1973 -1.5187 7.1749
Ho 4.2116 2.2804 11.0323
Ho 5.3408 -5.4059 7.7034
Ho 5.4085 2.3759 7.0726
Ho 8.0897 -2.3759 7.0726
Ho 8.1574 5.4059 7.7034
Ho 9.2866 -2.2804 11.0323
Ho 9.3010 1.5187 7.1749
Ho 10.9464 -5.3911 7.1749
Ho 10.9607 -2.2804 3.9597
Ho 12.0899 -1.5039 7.7034
Ho 12.1576 4.5339 7.0726
Ga 1.2122 -1.4668 3.8445
Ga 5.5369 -1.4668 10.9171
Ga 7.9613 1.4668 10.9171
Ga 12.2860 1.4668 3.8445
Sb 1.5308 -1.1431 10.3942
Sb 5.2183 -1.1431 3.3217
Sb 8.2799 1.1431 3.3217
Sb 11.9674 1.1431 10.3942
S 0.0000 0.0000 5.1809
S 0.0000 0.0000 14.0487
S 0.2238 -4.2182 9.6235
S 0.9434 3.5226 6.0021
S 1.1207 1.3040 10.4724
S 1.3390 -1.2639 7.9255
S 2.5583 -2.7704 5.1949
S 2.6594 -0.1884 2.5778
S 3.2934 3.2061 8.6542
S 3.3120 0.7991 13.1235
S 3.4371 0.7991 6.0509
S 3.4557 -3.7037 8.6542
S 4.0898 -0.1884 9.6504
S 4.1908 4.1394 5.1949
S 5.4101 5.6459 7.9255
S 5.6284 1.3040 3.3998
S 5.8057 -3.3872 6.0021
S 6.5253 2.6916 9.6235
S 6.7491 0.0000 6.9762
S 6.7491 0.0000 12.2535
S 6.9729 -2.6916 9.6235
S 7.6925 3.3872 6.0021
S 7.8698 -1.3040 3.3998
S 8.0881 -5.6459 7.9255
S 9.3074 -4.1394 5.1949
S 9.4085 0.1884 9.6504
S 10.0426 3.7037 8.6542
S 10.0611 -0.7991 6.0509
S 10.1862 -0.7991 13.1235
S 10.2048 -3.2061 8.6542
S 10.8389 0.1884 2.5778
S 10.9400 2.7704 5.1949
S 12.1592 1.2639 7.9255
S 12.3775 -1.3040 10.4724
S 12.5548 -3.5226 6.0021
S 13.2744 4.2182 9.6235
```

---

Structure and calculated powder diffraction line list of Sr2HoGaS5 (a DFT-relaxed cell (GGA-PBE, Alexandria); Cu Kα).
Peak positions follow from Bragg's law for the DFT cell and can differ from measured ones.

Main lines, low angle first (15 to 90 degrees two-theta):
d [Å]  intensity
5.091  26
3.748  32
3.180  31
2.897  58
2.817  100
2.436  48

Atomic structure:
```
18
Lattice="1.9732 -8.9402 0.0000 1.9732 8.9402 0.0000 0.0000 0.0000 12.3856" Properties=species:S:1:pos:R:3 pbc="T T T"
Sr 1.9732 6.8529 6.1928
Sr 1.9732 6.6914 1.7522
Sr 1.9732 -6.6914 7.9450
Sr 1.9732 -6.8529 0.0000
Ho 1.9732 5.2218 10.4586
Ho 1.9732 -5.2218 4.2658
Ga 1.9732 1.0177 3.0996
Ga 1.9732 -1.0177 9.2924
S 1.9732 8.1227 10.5934
S 1.9732 3.6959 6.0826
S 1.9732 3.2559 2.3544
S 1.9732 2.6083 10.2039
S 1.9732 0.0322 7.3209
S 1.9732 -0.0322 1.1281
S 1.9732 -2.6083 4.0111
S 1.9732 -3.2559 8.5472
S 1.9732 -3.6959 12.2754
S 1.9732 -8.1227 4.4006
```

---

Structure and calculated powder diffraction line list of HoScGa6 (a DFT-relaxed cell (GGA-PBE, Alexandria); Cu Kα).
Peak positions follow from Bragg's law for the DFT cell and can differ from measured ones.

Main lines, low angle first (15 to 90 degrees two-theta):
d [Å]  intensity
3.746  10
2.417  100
2.094  49
1.480  31
1.262  36
1.209  10

Atomic structure:
```
8
Lattice="4.1891 0.0000 0.0000 0.0000 4.1891 0.0000 0.0000 0.0000 8.3667" Properties=species:S:1:pos:R:3 pbc="T T T"
Ho 0.0000 0.0000 0.0000
Sc 0.0000 0.0000 4.1833
Ga 0.0000 2.0945 2.1595
Ga 0.0000 2.0945 6.2072
Ga 2.0945 0.0000 2.1595
Ga 2.0945 0.0000 6.2072
Ga 2.0945 2.0945 0.0000
Ga 2.0945 2.0945 4.1833
```